The following is a computed powder diffractogram of Ca3Ti4PbO12. It was derived from a DFT-relaxed cell (GGA-PBE, Alexandria), using Cu Kα X-rays.
Lines closer than 0.1° are merged.

Cell and atoms:
Cell lengths 5.5035, 7.7486, 5.5696 Å; angles 90.00, 90.57, 90.00 degrees
Fractional positions:
Ca 0.0000 0.0000 0.0000
Ca 0.0029 0.5000 0.9333
Ca 0.4898 0.5000 0.4268
Ti 0.5055 0.2525 0.9571
Ti 0.5055 0.7475 0.9571
Ti 0.9959 0.2564 0.4603
Ti 0.9959 0.7436 0.4603
Pb 0.4984 0.0000 0.4747
O 0.0357 0.0000 0.4559
O 0.2016 0.2929 0.2011
O 0.2016 0.7071 0.2011
O 0.2793 0.2899 0.6993
O 0.2793 0.7101 0.6993
O 0.4263 0.0000 0.9934
O 0.5617 0.5000 0.9914
O 0.7067 0.2340 0.2686
O 0.7067 0.7660 0.2686
O 0.7856 0.2158 0.7812
O 0.7856 0.7842 0.7812
O 0.9178 0.5000 0.5122

Principal peaks in the range 10° ≤ 2θ ≤ 90°, low angle first:
- 2θ = 11.4°, I = 38.3, hkl 0 1 0
- 2θ = 15.9°, I = 22.3, hkl 0 0 1
- 2θ = 16.1°, I = 21.4, hkl 1 0 0
- 2θ = 19.6°, I = 28.1, hkl 0 1 1
- 2θ = 19.8°, I = 28.6, hkl 1 1 0
- 2θ = 32.1°, I = 36.2, hkl 0 0 2
- 2θ = 32.4°, I = 71.5, hkl 1 2 -1
- 2θ = 32.6°, I = 100.0, hkl 2 0 0
- 2θ = 46.1°, I = 24.6, hkl 2 0 -2
- 2θ = 46.6°, I = 24.7, hkl 2 0 2
- 2θ = 46.9°, I = 25.5, hkl 0 4 0
- 2θ = 58.2°, I = 30.1, hkl 3 2 1